The following is a computed powder diffraction line list of Ti2NiRh5. It was derived from a structure optimized by DFT (GGA-PBE), using Cu Kα, 1.54184 Å.

Top 10 peaks for 10° ≤ 2θ ≤ 90°, in order of falling intensity:
40.88°, I = 100, (0 4 1); 47.70°, I = 31, (2 4 0); 69.42°, I = 19, (2 4 2); 47.27°, I = 17, (0 0 2); 83.50°, I = 12, (0 4 3); 84.20°, I = 11, (2 8 1); 84.08°, I = 10, (4 4 1); 23.33°, I = 6, (1 2 0); 33.08°, I = 5, (1 2 1); 88.67°, I = 5, (0 8 2)

Cell: 5.398 10.774 3.846 Å, 90.00 90.00 90.00°
Fractional positions:
Ti1 0.239 0.126 0.000
Ti2 0.261 0.626 0.000
Ti3 0.739 0.374 0.000
Ti4 0.761 0.874 0.000
Ni1 0.000 0.500 0.500
Ni2 0.500 0.000 0.500
Rh1 0.000 0.000 0.500
Rh2 0.017 0.748 0.500
Rh3 0.232 0.379 0.000
Rh4 0.268 0.879 0.000
Rh5 0.483 0.248 0.500
Rh6 0.500 0.500 0.500
Rh7 0.517 0.752 0.500
Rh8 0.732 0.121 0.000
Rh9 0.768 0.621 0.000
Rh10 0.983 0.252 0.500